Computed PXRD pattern
Compound: TbAl3
Radiation: CuKα
Structure: a crystal structure in the Materials Project, relaxed with GGA-PBE
Intensities are scaled so that the largest is 100.

Most intense lines, 2θ from 10° to 90°, by intensity:
23.56 deg, d 3.776, I 100.0, hkl 1 0 4
26.77 deg, d 3.330, I 97.6, hkl 0 1 5
37.51 deg, d 2.398, I 96.5, hkl 0 2 4
39.69 deg, d 2.271, I 94.9, hkl 2 0 5
28.76 deg, d 3.104, I 93.1, hkl 1 1 0
17.01 deg, d 5.212, I 48.2, hkl 1 0 1
38.19 deg, d 2.357, I 46.0, hkl 0 0 9
48.50 deg, d 1.877, I 43.2, hkl 1 1 9
33.60 deg, d 2.667, I 41.9, hkl 0 2 1
72.98 deg, d 1.296, I 37.6, hkl 2 2 9

Structural model:
Cell: 6.2088 6.2088 21.2113 Å, 90.00 90.00 120.00°
Space group R-3m (No. 166, hexagonal axes)
Unique sites:
Tb (0.0000, 0.0000, 0.0000) (multiplicity 3)
Tb (0.0000, 0.0000, 0.2180) (multiplicity 6)
Al (0.0000, 0.5000, 0.0000) (multiplicity 9)
Al (0.0404, 0.5202, 0.2230) (multiplicity 18)

***

Computed PXRD pattern
Compound: TbAl3
Radiation: CuKα
Structure: a crystal structure in the Materials Project, relaxed with GGA-PBE
Intensities are scaled so that the largest is 100.

Most intense lines, 2θ from 10° to 90°, by intensity:
29.07 deg, d 3.072, I 100.0, hkl 1 1 0
24.07 deg, d 3.698, I 77.2, hkl 1 0 7
38.08 deg, d 2.363, I 73.1, hkl 0 2 7
25.93 deg, d 3.436, I 71.6, hkl 0 1 8
39.34 deg, d 2.290, I 71.2, hkl 2 0 8
19.38 deg, d 4.580, I 63.4, hkl 1 0 4
37.47 deg, d 2.400, I 55.1, hkl 0 0 15
35.18 deg, d 2.551, I 52.2, hkl 0 2 4
48.11 deg, d 1.891, I 49.6, hkl 1 1 15
73.15 deg, d 1.294, I 44.2, hkl 2 2 15

Structural model:
Cell: 6.1436 6.1436 36.0032 Å, 90.00 90.00 120.00°
Space group R-3m (No. 166, hexagonal axes)
Unique sites:
Tb (0.0000, 0.0000, 0.0000) (multiplicity 3)
Tb (0.0000, 0.0000, 0.1308) (multiplicity 6)
Tb (0.0000, 0.0000, 0.4002) (multiplicity 6)
Al (0.0000, 0.5000, 0.0000) (multiplicity 9)
Al (0.0055, 0.5028, 0.8663) (multiplicity 18)
Al (0.0374, 0.5187, 0.3998) (multiplicity 18)